Entry 1:
The following is a theoretical PXRD pattern of Pr3Sn6Pd4. It was derived from a structure optimized by DFT (PBE), using Cu Kα (weighted mean of Kα1 and Kα2).

Main lines, low angle first (2θ from 15° to 90°):
Position (°2θ)	I_rel
29.1	18
31.5	100
33.2	43
34.4	9
36.0	22
38.8	50
41.0	14
49.7	11
54.0	14
57.7	11
63.4	9
65.7	13

Cell and atoms:
a = 16.9586 Å, b = 4.6414 Å, c = 15.8437 Å
α = 90.00°, β = 90.00°, γ = 90.00°
Positions (direct):
Pr: 0.1153 0.2500 0.2473
Pr: 0.1428 0.7500 0.6188
Pr: 0.1499 0.2500 0.9837
Pr: 0.3501 0.7500 0.4837
Pr: 0.3572 0.2500 0.1188
Pr: 0.3847 0.7500 0.7473
Pr: 0.6153 0.2500 0.2527
Pr: 0.6428 0.7500 0.8812
Pr: 0.6499 0.2500 0.5163
Pr: 0.8501 0.7500 0.0163
Pr: 0.8572 0.2500 0.3812
Pr: 0.8847 0.7500 0.7527
Sn: 0.0256 0.7500 0.9199
Sn: 0.0504 0.2500 0.4608
Sn: 0.0571 0.2500 0.7700
Sn: 0.1703 0.7500 0.3940
Sn: 0.1896 0.7500 0.8377
Sn: 0.2065 0.7500 0.1207
Sn: 0.2935 0.2500 0.6207
Sn: 0.3104 0.2500 0.3377
Sn: 0.3297 0.2500 0.8940
Sn: 0.4429 0.7500 0.2700
Sn: 0.4496 0.7500 0.9608
Sn: 0.4744 0.2500 0.4199
Sn: 0.5256 0.7500 0.5801
Sn: 0.5504 0.2500 0.0392
Sn: 0.5571 0.2500 0.7300
Sn: 0.6703 0.7500 0.1060
Sn: 0.6896 0.7500 0.6623
Sn: 0.7065 0.7500 0.3793
Sn: 0.7935 0.2500 0.8793
Sn: 0.8104 0.2500 0.1623
Sn: 0.8297 0.2500 0.6060
Sn: 0.9429 0.7500 0.2300
Sn: 0.9496 0.7500 0.5392
Sn: 0.9744 0.2500 0.0801
Pd: 0.0095 0.7500 0.3782
Pd: 0.0477 0.7500 0.1000
Pd: 0.2080 0.2500 0.4748
Pd: 0.2178 0.2500 0.7669
Pd: 0.2822 0.7500 0.2669
Pd: 0.2920 0.7500 0.9748
Pd: 0.4523 0.2500 0.6000
Pd: 0.4905 0.2500 0.8782
Pd: 0.5095 0.7500 0.1218
Pd: 0.5477 0.7500 0.4000
Pd: 0.7080 0.2500 0.0252
Pd: 0.7178 0.2500 0.7331
Pd: 0.7822 0.7500 0.2331
Pd: 0.7920 0.7500 0.5252
Pd: 0.9523 0.2500 0.9000
Pd: 0.9905 0.2500 0.6218


Entry 2:
The following is a theoretical PXRD pattern of YAl8Fe4. It was derived from a structure optimized by DFT (PBE), using Cu Kα (weighted mean of Kα1 and Kα2).

Main lines, low angle first (2θ from 15° to 90°):
Position (°2θ)	I_rel
20.4	19
29.0	26
32.5	6
35.7	15
41.5	100
46.7	30
49.1	4
55.9	3
60.2	21
68.2	13
75.7	21
79.4	5

Cell and atoms:
a = 6.6448 Å, b = 6.6448 Å, c = 6.6448 Å
α = 98.22°, β = 98.22°, γ = 135.57°
Positions (direct):
Y: 0.0000 0.0000 0.0000
Al: 0.0000 0.3403 0.3403
Al: 0.0000 0.6597 0.6597
Al: 0.2790 0.5000 0.7790
Al: 0.3403 0.0000 0.3403
Al: 0.5000 0.2790 0.7790
Al: 0.5000 0.7210 0.2210
Al: 0.6597 0.0000 0.6597
Al: 0.7210 0.5000 0.2210
Fe: 0.0000 0.0000 0.5000
Fe: 0.0000 0.5000 0.0000
Fe: 0.5000 0.0000 0.0000
Fe: 0.5000 0.5000 0.5000